[1]
Cs2TbErS4: theoretical PXRD pattern (CuKα), based on the PBE geometry in OQMD.
Neutral-atom scattering factors, no anomalous dispersion.

Cell and atoms:
a b c (Å): 4.0891 4.0891 16.0449
angles (deg): 90.00 90.00 120.00
Space group P-3m1 (No. 164)
Unique sites:
Cs  0.3333  0.6667  0.2498 [2 per cell]
Tb  0.0000  0.0000  0.5000 [1 per cell]
Er  0.0000  0.0000  0.0000 [1 per cell]
S  0.3333  0.6667  0.5922 [2 per cell]
S  0.3333  0.6667  0.9101 [2 per cell]

Top 8 peaks for 2θ = 10–80°, in order of rising 2θ:
hkl 0 0 4, 2θ = 22.16°, I = 38; hkl 0 1 1, 2θ = 25.76°, I = 17; hkl 0 1 2, 2θ = 27.53°, I = 100; hkl 1 0 3, 2θ = 30.27°, I = 51; hkl 1 0 4, 2θ = 33.76°, I = 18; hkl 1 0 6, 2θ = 42.35°, I = 46; hkl 1 1 0, 2θ = 44.30°, I = 38; hkl 1 1 4, 2θ = 50.08°, I = 27

***

[2]
HfSe4Br2Cl4: theoretical PXRD pattern (CuKα), based on the PBE geometry in OQMD.
Neutral-atom scattering factors, no anomalous dispersion.

Cell and atoms:
a b c (Å): 7.449 7.583 8.144
angles (deg): 62.39 86.38 61.27
Space group P-1 (No. 2)
Unique sites:
Hf  0.000  0.000  0.000 [1 per cell]
Se  0.318  0.120  0.315 [2 per cell]
Se  0.387  0.250  0.497 [2 per cell]
Br  0.040  0.369  0.790 [2 per cell]
Cl  0.133  0.860  0.781 [2 per cell]
Cl  0.363  0.791  0.173 [2 per cell]

Top 8 peaks for 2θ = 10–80°, in order of rising 2θ:
hkl 0 1 0, 2θ = 15.33°, I = 38; hkl 1 1 1, 2θ = 15.77°, I = 56; hkl 1 0 -1, 2θ = 16.69°, I = 100; hkl 1 0 1, 2θ = 20.57°, I = 21; hkl 1 1 -1, 2θ = 22.10°, I = 62; hkl 2 0 1, 2θ = 33.04°, I = 31; hkl 0 2 3, 2θ = 35.30°, I = 33; hkl 0 2 -1, 2θ = 39.09°, I = 24

***

[3]
ErTmSbI2: theoretical PXRD pattern (CuKα), based on the PBE geometry in OQMD.
Neutral-atom scattering factors, no anomalous dispersion.

Cell and atoms:
a b c (Å): 4.2885 4.2885 11.0593
angles (deg): 90.00 90.00 120.00
Space group P3m1 (No. 156)
Unique sites:
Er  0.0000  0.0000  0.0000 [1 per cell]
Tm  0.3333  0.6667  0.3002 [1 per cell]
Sb  0.6667  0.3333  0.1511 [1 per cell]
I  0.0000  0.0000  0.4737 [1 per cell]
I  0.3333  0.6667  0.8256 [1 per cell]

Top 8 peaks for 2θ = 10–80°, in order of rising 2θ:
hkl 1 0 2, 2θ = 28.96°, I = 100; hkl 0 1 4, 2θ = 40.68°, I = 35; hkl 1 1 0, 2θ = 42.14°, I = 34; hkl 0 2 2, 2θ = 51.94°, I = 20; hkl 2 0 4, 2θ = 60.01°, I = 11; hkl 1 1 6, 2θ = 66.94°, I = 14; hkl 2 1 2, 2θ = 69.03°, I = 17; hkl 1 2 4, 2θ = 76.04°, I = 11

***

[4]
LiFeReAs: theoretical PXRD pattern (CuKα), based on the PBE geometry in OQMD.
Neutral-atom scattering factors, no anomalous dispersion.

Cell and atoms:
a b c (Å): 5.811 5.811 5.811
angles (deg): 90.00 90.00 90.00
Space group F-43m (No. 216)
Unique sites:
Li  0.000  0.000  0.000 [4 per cell]
Fe  0.250  0.250  0.750 [4 per cell]
Re  0.250  0.250  0.250 [4 per cell]
As  0.000  0.000  0.500 [4 per cell]

Top 8 peaks for 2θ = 10–80°, in order of rising 2θ:
hkl 1 1 1, 2θ = 26.57°, I = 50; hkl 2 0 0, 2θ = 30.77°, I = 33; hkl 2 2 0, 2θ = 44.08°, I = 100; hkl 3 1 1, 2θ = 52.20°, I = 25; hkl 2 2 2, 2θ = 54.72°, I = 9; hkl 4 0 0, 2θ = 64.10°, I = 16; hkl 3 3 1, 2θ = 70.65°, I = 10; hkl 4 2 0, 2θ = 72.78°, I = 11

***

[5]
KLi4NbO5: theoretical PXRD pattern (CuKα), based on the PBE geometry in OQMD.
Neutral-atom scattering factors, no anomalous dispersion.

Cell and atoms:
a b c (Å): 5.804 5.896 8.169
angles (deg): 88.49 78.89 60.79
Space group P-1 (No. 2)
Unique sites:
K  0.111  0.244  0.086 [2 per cell]
Li  0.103  0.603  0.411 [2 per cell]
Li  0.159  0.999  0.378 [2 per cell]
Li  0.385  0.667  0.107 [2 per cell]
Li  0.409  0.399  0.609 [2 per cell]
Nb  0.355  0.942  0.698 [2 per cell]
O  0.024  0.813  0.218 [2 per cell]
O  0.238  0.755  0.551 [2 per cell]
O  0.278  0.234  0.472 [2 per cell]
O  0.430  0.703  0.865 [2 per cell]
O  0.478  0.162  0.784 [2 per cell]

Top 8 peaks for 2θ = 10–80°, in order of rising 2θ:
hkl 0 1 0, 2θ = 17.29°, I = 100; hkl 1 0 1, 2θ = 19.02°, I = 70; hkl 1 1 1, 2θ = 19.67°, I = 41; hkl 1 1 -1, 2θ = 22.19°, I = 54; hkl 1 0 -2, 2θ = 31.53°, I = 37; hkl 0 1 -3, 2θ = 36.77°, I = 28; hkl 2 2 2, 2θ = 39.95°, I = 46; hkl 2 0 -1, 2θ = 40.25°, I = 64

***

[6]
Cu: theoretical PXRD pattern (CuKα), based on the PBE geometry in OQMD.
Neutral-atom scattering factors, no anomalous dispersion.

Cell and atoms:
a b c (Å): 2.5243 2.5243 32.0666
angles (deg): 90.00 90.00 120.00
Space group P-3m1 (No. 164)
Unique sites:
Cu  0.0000  0.0000  0.0000 [1 per cell]
Cu  0.0000  0.0000  0.1949 [2 per cell]
Cu  0.3333  0.6667  0.1299 [2 per cell]
Cu  0.3333  0.6667  0.7397 [2 per cell]
Cu  0.3333  0.6667  0.9352 [2 per cell]

Top 8 peaks for 2θ = 10–80°, in order of rising 2θ:
hkl 0 0 15, 2θ = 42.27°, I = 37; hkl 1 0 4, 2θ = 42.88°, I = 21; hkl 1 0 5, 2θ = 43.75°, I = 100; hkl 1 0 6, 2θ = 44.79°, I = 39; hkl 0 0 16, 2θ = 45.25°, I = 20; hkl 0 1 10, 2θ = 50.53°, I = 61; hkl 0 1 11, 2θ = 52.31°, I = 31; hkl 1 1 0, 2θ = 75.32°, I = 28

***

[7]
Zr2GaNi2Bi: theoretical PXRD pattern (CuKα), based on the PBE geometry in OQMD.
Neutral-atom scattering factors, no anomalous dispersion.

Cell and atoms:
a b c (Å): 6.115 6.115 12.190
angles (deg): 90.00 90.00 90.00
Space group I-42d (No. 122)
Unique sites:
Zr  0.000  0.000  0.242 [8 per cell]
Ga  0.000  0.000  0.000 [4 per cell]
Ni  0.240  0.750  0.125 [8 per cell]
Bi  0.000  0.000  0.500 [4 per cell]

Top 8 peaks for 2θ = 10–80°, in order of rising 2θ:
hkl 1 0 1, 2θ = 16.22°, I = 13; hkl 1 1 2, 2θ = 25.25°, I = 19; hkl 2 0 0, 2θ = 29.24°, I = 42; hkl 2 2 0, 2θ = 41.83°, I = 100; hkl 2 2 4, 2θ = 51.85°, I = 11; hkl 4 0 0, 2θ = 60.57°, I = 11; hkl 4 2 4, 2θ = 76.34°, I = 22; hkl 2 2 8, 2θ = 76.48°, I = 10

***

[8]
PrTl3S6: theoretical PXRD pattern (CuKα), based on the PBE geometry in OQMD.
Neutral-atom scattering factors, no anomalous dispersion.

Cell and atoms:
a b c (Å): 11.039 4.080 11.601
angles (deg): 90.00 110.55 90.00
Space group P2_1/m (No. 11)
Unique sites:
Pr  0.199  0.250  0.054 [2 per cell]
Tl  0.018  0.750  0.302 [2 per cell]
Tl  0.335  0.250  0.440 [2 per cell]
Tl  0.404  0.750  0.833 [2 per cell]
S  0.042  0.750  0.900 [2 per cell]
S  0.105  0.250  0.458 [2 per cell]
S  0.234  0.750  0.253 [2 per cell]
S  0.237  0.250  0.804 [2 per cell]
S  0.407  0.750  0.072 [2 per cell]
S  0.440  0.750  0.605 [2 per cell]

Top 8 peaks for 2θ = 10–80°, in order of rising 2θ:
hkl 1 0 -2, 2θ = 15.54°, I = 49; hkl 1 0 -3, 2θ = 23.00°, I = 99; hkl 3 0 -1, 2θ = 24.20°, I = 44; hkl 1 1 1, 2θ = 25.85°, I = 100; hkl 2 1 -1, 2θ = 27.28°, I = 75; hkl 1 1 2, 2θ = 30.42°, I = 58; hkl 0 1 3, 2θ = 33.08°, I = 59; hkl 3 1 -4, 2θ = 40.85°, I = 58

***

[9]
GdHoCSe: theoretical PXRD pattern (CuKα), based on the PBE geometry in OQMD.
Neutral-atom scattering factors, no anomalous dispersion.

Cell and atoms:
a b c (Å): 3.7712 3.7712 13.3219
angles (deg): 90.00 90.00 120.00
Space group P-3m1 (No. 164)
Unique sites:
Gd  0.3333  0.6667  0.3976 [2 per cell]
Ho  0.3333  0.6667  0.0985 [2 per cell]
C  0.0000  0.0000  0.0000 [1 per cell]
C  0.0000  0.0000  0.5000 [1 per cell]
Se  0.3333  0.6667  0.7540 [2 per cell]

Top 8 peaks for 2θ = 10–80°, in order of rising 2θ:
hkl 1 0 0, 2θ = 27.31°, I = 29; hkl 1 0 1, 2θ = 28.13°, I = 13; hkl 1 0 3, 2θ = 34.08°, I = 100; hkl 0 0 6, 2θ = 40.63°, I = 10; hkl 1 1 0, 2θ = 48.26°, I = 29; hkl 0 1 6, 2θ = 49.65°, I = 10; hkl 0 2 3, 2θ = 60.40°, I = 19; hkl 1 1 6, 2θ = 64.88°, I = 15

***

[10]
NaZrO3: theoretical PXRD pattern (CuKα), based on the PBE geometry in OQMD.
Neutral-atom scattering factors, no anomalous dispersion.

Cell and atoms:
a b c (Å): 5.6816 5.6816 14.7345
angles (deg): 90.00 90.00 120.00
Space group R-3 (No. 148, hexagonal axes)
Unique sites:
Na  0.0000  0.0000  0.1322 [6 per cell]
Zr  0.0000  0.0000  0.3463 [6 per cell]
O  0.0178  0.6172  0.9226 [18 per cell]

Top 8 peaks for 2θ = 10–80°, in order of rising 2θ:
hkl 0 0 3, 2θ = 18.06°, I = 89; hkl 1 0 1, 2θ = 19.02°, I = 76; hkl 0 1 2, 2θ = 21.72°, I = 55; hkl 1 0 4, 2θ = 30.31°, I = 94; hkl 1 1 0, 2θ = 31.49°, I = 100; hkl 2 -1 3, 2θ = 36.54°, I = 92; hkl 0 2 4, 2θ = 44.27°, I = 46; hkl 2 -1 6, 2θ = 49.03°, I = 73

***

[11]
Ag7Te: theoretical PXRD pattern (CuKα), based on the PBE geometry in OQMD.
Neutral-atom scattering factors, no anomalous dispersion.

Cell and atoms:
a b c (Å): 2.908 4.015 34.711
angles (deg): 90.00 90.00 90.00
Space group Pmmn (No. 59, origin choice 2)
Unique sites:
Ag  0.250  0.250  0.022 [2 per cell]
Ag  0.250  0.250  0.108 [2 per cell]
Ag  0.250  0.250  0.194 [2 per cell]
Ag  0.250  0.250  0.281 [2 per cell]
Ag  0.250  0.250  0.763 [2 per cell]
Ag  0.250  0.250  0.850 [2 per cell]
Ag  0.250  0.250  0.936 [2 per cell]
Te  0.250  0.250  0.668 [2 per cell]

Top 8 peaks for 2θ = 10–80°, in order of rising 2θ:
hkl 0 1 11, 2θ = 36.21°, I = 59; hkl 1 1 0, 2θ = 38.23°, I = 100; hkl 0 1 12, 2θ = 38.35°, I = 49; hkl 1 0 11, 2θ = 42.26°, I = 38; hkl 1 0 12, 2θ = 44.16°, I = 33; hkl 0 2 0, 2θ = 45.17°, I = 25; hkl 1 2 11, 2θ = 63.57°, I = 21; hkl 1 2 12, 2θ = 65.01°, I = 19

***

[12]
NbHgSO: theoretical PXRD pattern (CuKα), based on the PBE geometry in OQMD.
Neutral-atom scattering factors, no anomalous dispersion.

Cell and atoms:
a b c (Å): 8.761 6.408 5.575
angles (deg): 90.00 90.28 90.00
Space group P2_1/c (No. 14)
Unique sites:
Nb  0.009  0.124  0.277 [4 per cell]
Hg  0.443  0.722  0.473 [4 per cell]
S  0.199  0.111  0.593 [4 per cell]
O  0.104  0.631  0.588 [4 per cell]

Top 8 peaks for 2θ = 10–80°, in order of rising 2θ:
hkl 1 0 0, 2θ = 10.10°, I = 26; hkl 2 0 0, 2θ = 20.27°, I = 87; hkl 2 1 0, 2θ = 24.62°, I = 41; hkl 0 2 0, 2θ = 27.85°, I = 27; hkl 1 2 0, 2θ = 29.69°, I = 44; hkl 1 0 2, 2θ = 33.74°, I = 100; hkl 1 2 -2, 2θ = 44.28°, I = 27; hkl 3 1 2, 2θ = 47.37°, I = 28

***

[13]
SrFeCo2: theoretical PXRD pattern (CuKα), based on the PBE geometry in OQMD.
Neutral-atom scattering factors, no anomalous dispersion.

Cell and atoms:
a b c (Å): 6.306 6.306 6.306
angles (deg): 90.00 90.00 90.00
Space group F-43m (No. 216)
Unique sites:
Sr  0.000  0.000  0.000 [4 per cell]
Fe  0.250  0.250  0.250 [4 per cell]
Co  0.000  0.000  0.500 [4 per cell]
Co  0.250  0.250  0.750 [4 per cell]

Top 8 peaks for 2θ = 10–80°, in order of rising 2θ:
hkl 1 1 1, 2θ = 24.45°, I = 2; hkl 2 0 0, 2θ = 28.30°, I = 1; hkl 2 2 0, 2θ = 40.46°, I = 100; hkl 3 1 1, 2θ = 47.84°, I = 1; hkl 4 0 0, 2θ = 58.55°, I = 16; hkl 3 3 1, 2θ = 64.40°, I = 1; hkl 4 2 0, 2θ = 66.28°, I = 1; hkl 4 2 2, 2θ = 73.58°, I = 31